Structure and computed X-ray diffraction stick pattern of SmYCo10 (the PBE geometry in the Materials Project; Cu Kα, 1.54184 Å).
Intensities are scaled so that the largest is 100.

Lattice parameters (Å, degrees): 3.930 4.910 8.517 90.00 90.00 90.00
Fractional positions:
1 Sm 0.000 0.000 0.000
2 Y 0.000 0.500 0.500
3 Co 0.000 0.000 0.334
4 Co 0.000 0.000 0.666
5 Co 0.000 0.500 0.168
6 Co 0.000 0.500 0.832
7 Co 0.500 0.000 0.500
8 Co 0.500 0.251 0.251
9 Co 0.500 0.251 0.749
10 Co 0.500 0.500 0.000
11 Co 0.500 0.749 0.251
12 Co 0.500 0.749 0.749

Top 10 peaks for 2θ = 10–90°, by angle:
30.97 deg, I = 40
36.57 deg, I = 29
42.49 deg, I = 34
43.44 deg, I = 100
46.19 deg, I = 27
60.31 deg, I = 13
64.55 deg, I = 19
70.59 deg, I = 22
77.74 deg, I = 16
83.65 deg, I = 13